(1)
Diffraction record for Li4In2Ga. The PXRD pattern is computed, not measured: it uses a structure optimized by DFT (PBE) and λ = 1.5418 Å (Cu Kα).
Neutral-atom scattering factors, no anomalous dispersion.

Peak list (6 most intense, 10° ≤ 2θ ≤ 80°, by angle)
| Position (°2θ) | d_spacing | Rel. int. | (hkl) |
| --- | --- | --- | --- |
| 13.08 | 6.769 | 83 | 0 0 3 |
| 23.20 | 3.834 | 52 | 0 1 2 |
| 27.81 | 3.209 | 100 | 1 0 4 |
| 37.63 | 2.390 | 75 | 1 1 0 |
| 37.87 | 2.376 | 60 | 1 0 7 |
| 54.43 | 1.686 | 40 | 0 2 7 |

Atomic structure:
```
data_Li4In2Ga
_cell_length_a 4.7807
_cell_length_b 4.7807
_cell_length_c 20.3074
_cell_angle_alpha 90.00
_cell_angle_beta 90.00
_cell_angle_gamma 120.00
_space_group_name_H-M_alt 'R -3 m'
_space_group_IT_number 166
_space_group_name_Hall '-R 3 2"'
loop_
_atom_site_label
_atom_site_type_symbol
_atom_site_fract_x
_atom_site_fract_y
_atom_site_fract_z
Li1 Li 0.0000 0.0000 0.0780
Li2 Li 0.0000 0.0000 0.3654
In1 In 0.0000 0.0000 0.2261
Ga1 Ga 0.0000 0.0000 0.5000
```

***

(2)
Diffraction record for Li3In5Ga3. The PXRD pattern is computed, not measured: it uses a structure optimized by DFT (PBE) and λ = 1.5418 Å (Cu Kα).
Neutral-atom scattering factors, no anomalous dispersion.

Peak list (6 most intense, 10° ≤ 2θ ≤ 80°, by angle)
| Position (°2θ) | d_spacing | Rel. int. | (hkl) |
| --- | --- | --- | --- |
| 18.39 | 4.825 | 94 | 1 1 0 |
| 29.24 | 3.054 | 100 | 0 0 1 |
| 32.13 | 2.786 | 100 | 3 0 0 |
| 37.27 | 2.412 | 58 | 2 2 0 |
| 43.99 | 2.058 | 77 | 3 0 1 |
| 48.06 | 1.893 | 59 | 2 2 1 |

Atomic structure:
```
data_Li3In5Ga3
_cell_length_a 9.6494
_cell_length_b 9.6494
_cell_length_c 3.0545
_cell_angle_alpha 90.00
_cell_angle_beta 90.00
_cell_angle_gamma 120.00
_space_group_name_H-M_alt 'P -6 2 m'
_space_group_IT_number 189
_space_group_name_Hall 'P -6 -2'
loop_
_atom_site_label
_atom_site_type_symbol
_atom_site_fract_x
_atom_site_fract_y
_atom_site_fract_z
Li1 Li 0.0000 0.3950 0.0000
In1 In 0.0000 0.6548 0.5000
In2 In 0.3333 0.6667 0.5000
Ga1 Ga 0.0000 0.1606 0.5000
```

***

(3)
Diffraction record for Li2In4Ga3. The PXRD pattern is computed, not measured: it uses a structure optimized by DFT (PBE) and λ = 1.5418 Å (Cu Kα).
Neutral-atom scattering factors, no anomalous dispersion.

Peak list (6 most intense, 10° ≤ 2θ ≤ 80°, by angle)
| Position (°2θ) | d_spacing | Rel. int. | (hkl) |
| --- | --- | --- | --- |
| 35.07 | 2.559 | 100 | -1 1 1 |
| 35.25 | 2.546 | 98 | 1 1 -2 |
| 35.40 | 2.536 | 97 | 1 0 3 |
| 35.51 | 2.528 | 96 | 1 2 2 |
| 40.63 | 2.221 | 66 | 2 1 1 |
| 40.90 | 2.206 | 67 | 0 2 -1 |

Atomic structure:
```
data_Li2In4Ga3
_cell_length_a 4.442
_cell_length_b 5.380
_cell_length_c 9.233
_cell_angle_alpha 73.74
_cell_angle_beta 76.66
_cell_angle_gamma 66.23
_space_group_name_H-M_alt 'P -1'
_space_group_IT_number 2
loop_
_space_group_symop_operation_xyz
'x,y,z'
'-x,-y,-z'
loop_
_atom_site_label
_atom_site_type_symbol
_atom_site_fract_x
_atom_site_fract_y
_atom_site_fract_z
Li1 Li 0.165 0.390 0.279
In1 In 0.167 0.050 0.617
In2 In 0.496 0.179 0.835
Ga1 Ga 0.170 0.709 0.950
Ga2 Ga 0.500 0.500 0.500
```

***

(4)
Diffraction record for Li8In2Ga. The PXRD pattern is computed, not measured: it uses a structure optimized by DFT (PBE) and λ = 1.5418 Å (Cu Kα).
Neutral-atom scattering factors, no anomalous dispersion.

Peak list (6 most intense, 10° ≤ 2θ ≤ 80°, by angle)
| Position (°2θ) | d_spacing | Rel. int. | (hkl) |
| --- | --- | --- | --- |
| 21.17 | 4.196 | 58 | 2 0 0 |
| 23.48 | 3.788 | 100 | 1 1 1 |
| 26.21 | 3.399 | 40 | 1 3 0 |
| 37.74 | 2.383 | 35 | 0 4 1 |
| 38.54 | 2.336 | 37 | 3 1 1 |
| 43.68 | 2.072 | 34 | 2 4 1 |

Atomic structure:
```
data_Li8In2Ga
_cell_length_a 8.392
_cell_length_b 11.155
_cell_length_c 4.591
_cell_angle_alpha 90.00
_cell_angle_beta 90.00
_cell_angle_gamma 90.00
_space_group_name_H-M_alt 'C m m m'
_space_group_IT_number 65
_space_group_name_Hall '-C 2 2'
loop_
_atom_site_label
_atom_site_type_symbol
_atom_site_fract_x
_atom_site_fract_y
_atom_site_fract_z
Li1 Li 0.000 0.237 0.000
Li2 Li 0.161 0.125 0.500
Li3 Li 0.173 0.500 0.000
In1 In 0.000 0.373 0.500
Ga1 Ga 0.000 0.000 0.000
```